# 1
Structure and calculated PXRD pattern of Ac2ThGa6 (a cell relaxed with GGA-PBE; CuKα).
Peak positions follow from Bragg's law for the DFT cell and can differ from measured ones.

Peak list (6 most intense, 10° ≤ 2θ ≤ 80°, by angle)
d [Å], I_rel
3.772, 24
2.898, 100
2.178, 35
1.741, 23
1.569, 25
1.360, 20

Structural model:
```
data_Ac2ThGa6
_space_group_name_H-M_alt 'P 6/m m m'
_space_group_IT_number 191
_space_group_name_Hall '-P 6 2'
_cell_length_a 7.5436
_cell_length_b 7.5436
_cell_length_c 4.5268
_cell_angle_alpha 90.00
_cell_angle_beta 90.00
_cell_angle_gamma 120.00
loop_
_atom_site_label
_atom_site_fract_x
_atom_site_fract_y
_atom_site_fract_z
_atom_site_occupancy
Ac1 0.3333 0.6667 0.0000 1
Th1 0.0000 0.0000 0.0000 1
Ga1 0.0000 0.3286 0.5000 1
```



# 2
Structure and calculated PXRD pattern of Ac5TlGa4 (a cell relaxed with GGA-PBE; CuKα).
Peak positions follow from Bragg's law for the DFT cell and can differ from measured ones.

Peak list (6 most intense, 10° ≤ 2θ ≤ 80°, by angle)
d [Å], I_rel
3.940, 18
2.817, 100
2.786, 52
1.970, 19
1.632, 17
1.614, 39

Structural model:
```
data_Ac5TlGa4
_space_group_name_H-M_alt 'P 4/m m m'
_space_group_IT_number 123
_space_group_name_Hall '-P 4 2'
_cell_length_a 3.940
_cell_length_b 3.940
_cell_length_c 20.146
_cell_angle_alpha 90.00
_cell_angle_beta 90.00
_cell_angle_gamma 90.00
loop_
_atom_site_label
_atom_site_fract_x
_atom_site_fract_y
_atom_site_fract_z
_atom_site_occupancy
Ac1 0.000 0.000 0.000 1
Ac2 0.000 0.000 0.194 1
Ac3 0.000 0.000 0.387 1
Tl1 0.500 0.500 0.500 1
Ga1 0.500 0.500 0.097 1
Ga2 0.500 0.500 0.291 1
```



# 3
Structure and calculated PXRD pattern of Ac5Tl4Ga (a cell relaxed with GGA-PBE; CuKα).
Peak positions follow from Bragg's law for the DFT cell and can differ from measured ones.

Peak list (6 most intense, 10° ≤ 2θ ≤ 80°, by angle)
d [Å], I_rel
2.913, 100
2.855, 50
2.018, 19
1.694, 18
1.659, 39
1.457, 11

Structural model:
```
data_Ac5Tl4Ga
_space_group_name_H-M_alt 'P 4/m m m'
_space_group_IT_number 123
_space_group_name_Hall '-P 4 2'
_cell_length_a 4.037
_cell_length_b 4.037
_cell_length_c 21.043
_cell_angle_alpha 90.00
_cell_angle_beta 90.00
_cell_angle_gamma 90.00
loop_
_atom_site_label
_atom_site_fract_x
_atom_site_fract_y
_atom_site_fract_z
_atom_site_occupancy
Ac1 0.000 0.000 0.000 1
Ac2 0.000 0.000 0.206 1
Ac3 0.000 0.000 0.411 1
Tl1 0.500 0.500 0.103 1
Tl2 0.500 0.500 0.308 1
Ga1 0.500 0.500 0.500 1
```



# 4
Structure and calculated PXRD pattern of Ac4TlGa (a cell relaxed with GGA-PBE; CuKα).
Peak positions follow from Bragg's law for the DFT cell and can differ from measured ones.

Peak list (6 most intense, 10° ≤ 2θ ≤ 80°, by angle)
d [Å], I_rel
3.205, 73
3.189, 82
2.931, 39
2.890, 100
2.456, 27
1.950, 30

Structural model:
```
data_Ac4TlGa
_space_group_name_H-M_alt 'P 1 21/m 1'
_space_group_IT_number 11
_cell_length_a 6.747
_cell_length_b 7.450
_cell_length_c 9.693
_cell_angle_alpha 90.00
_cell_angle_beta 109.16
_cell_angle_gamma 90.00
loop_
_space_group_symop_operation_xyz
'x,y,z'
'-x,-y,-z'
'-x,y+1/2,-z'
'x,-y+1/2,z'
loop_
_atom_site_label
_atom_site_fract_x
_atom_site_fract_y
_atom_site_fract_z
_atom_site_occupancy
Ac1 0.158 0.250 0.070 1
Ac2 0.271 0.504 0.745 1
Ac3 0.288 0.750 0.363 1
Tl1 0.195 0.250 0.426 1
Ga1 0.360 0.750 0.042 1
```



# 5
Structure and calculated PXRD pattern of AcY2Ga6 (a cell relaxed with GGA-PBE; CuKα).
Peak positions follow from Bragg's law for the DFT cell and can differ from measured ones.

Peak list (6 most intense, 10° ≤ 2θ ≤ 80°, by angle)
d [Å], I_rel
2.820, 100
2.173, 15
2.140, 42
1.705, 22
1.525, 28
1.334, 19

Structural model:
```
data_AcY2Ga6
_space_group_name_H-M_alt 'P 6/m m m'
_space_group_IT_number 191
_space_group_name_Hall '-P 6 2'
_cell_length_a 7.4140
_cell_length_b 7.4140
_cell_length_c 4.3458
_cell_angle_alpha 90.00
_cell_angle_beta 90.00
_cell_angle_gamma 120.00
loop_
_atom_site_label
_atom_site_fract_x
_atom_site_fract_y
_atom_site_fract_z
_atom_site_occupancy
Ac1 0.0000 0.0000 0.0000 1
Y1 0.3333 0.6667 0.0000 1
Ga1 0.0000 0.3375 0.5000 1
```



# 6
Structure and calculated PXRD pattern of Ac2ZnGa5 (a cell relaxed with GGA-PBE; CuKα).
Peak positions follow from Bragg's law for the DFT cell and can differ from measured ones.

Peak list (6 most intense, 10° ≤ 2θ ≤ 80°, by angle)
d [Å], I_rel
4.550, 29
3.315, 82
2.679, 100
2.420, 29
2.275, 43
1.657, 30

Structural model:
```
data_Ac2ZnGa5
_space_group_name_H-M_alt 'I 4 m m'
_space_group_IT_number 107
_space_group_name_Hall 'I 4 -2'
_cell_length_a 6.434
_cell_length_b 6.434
_cell_length_c 9.678
_cell_angle_alpha 90.00
_cell_angle_beta 90.00
_cell_angle_gamma 90.00
loop_
_atom_site_label
_atom_site_fract_x
_atom_site_fract_y
_atom_site_fract_z
_atom_site_occupancy
Ac1 0.000 0.500 0.000 1
Zn1 0.000 0.000 0.238 1
Ga1 0.000 0.000 0.958 1
Ga2 0.206 0.206 0.749 1
```



# 7
Structure and calculated PXRD pattern of Ac3Zn4Ga2 (a cell relaxed with GGA-PBE; CuKα).
Peak positions follow from Bragg's law for the DFT cell and can differ from measured ones.

Peak list (6 most intense, 10° ≤ 2θ ≤ 80°, by angle)
d [Å], I_rel
4.024, 29
2.886, 100
2.327, 14
2.321, 29
1.811, 22
1.547, 16

Structural model:
```
data_Ac3Zn4Ga2
_space_group_name_H-M_alt 'C 1 2/m 1'
_space_group_IT_number 12
_cell_length_a 11.525
_cell_length_b 4.655
_cell_length_c 9.047
_cell_angle_alpha 90.00
_cell_angle_beta 106.83
_cell_angle_gamma 90.00
loop_
_space_group_symop_operation_xyz
'x,y,z'
'-x,-y,-z'
'-x,y,-z'
'x,-y,z'
'x+1/2,y+1/2,z'
'-x+1/2,-y+1/2,-z'
'-x+1/2,y+1/2,-z'
'x+1/2,-y+1/2,z'
loop_
_atom_site_label
_atom_site_fract_x
_atom_site_fract_y
_atom_site_fract_z
_atom_site_occupancy
Ac1 0.000 0.000 0.000 1
Ac2 0.168 0.500 0.668 1
Zn1 0.058 0.000 0.393 1
Zn2 0.219 0.500 0.052 1
Ga1 0.110 0.500 0.278 1
```



# 8
Structure and calculated PXRD pattern of Ac3Zn2Ga4 (a cell relaxed with GGA-PBE; CuKα).
Peak positions follow from Bragg's law for the DFT cell and can differ from measured ones.

Peak list (6 most intense, 10° ≤ 2θ ≤ 80°, by angle)
d [Å], I_rel
3.832, 24
2.955, 100
2.212, 35
1.771, 23
1.601, 25
1.383, 20

Structural model:
```
data_Ac3Zn2Ga4
_space_group_name_H-M_alt 'C 1 2/m 1'
_space_group_IT_number 12
_cell_length_a 12.039
_cell_length_b 4.427
_cell_length_c 8.955
_cell_angle_alpha 90.00
_cell_angle_beta 98.31
_cell_angle_gamma 90.00
loop_
_space_group_symop_operation_xyz
'x,y,z'
'-x,-y,-z'
'-x,y,-z'
'x,-y,z'
'x+1/2,y+1/2,z'
'-x+1/2,-y+1/2,-z'
'-x+1/2,y+1/2,-z'
'x+1/2,-y+1/2,z'
loop_
_atom_site_label
_atom_site_fract_x
_atom_site_fract_y
_atom_site_fract_z
_atom_site_occupancy
Ac1 0.000 0.000 0.000 1
Ac2 0.165 0.500 0.667 1
Zn1 0.111 0.500 0.279 1
Ga1 0.055 0.000 0.388 1
Ga2 0.222 0.500 0.058 1
```



# 9
Structure and calculated PXRD pattern of Ac4Zn2Ga (a cell relaxed with GGA-PBE; CuKα).
Peak positions follow from Bragg's law for the DFT cell and can differ from measured ones.

Peak list (6 most intense, 10° ≤ 2θ ≤ 80°, by angle)
d [Å], I_rel
3.893, 43
2.753, 100
2.248, 14
1.743, 13
1.590, 26
1.587, 13

Structural model:
```
data_Ac4Zn2Ga
_space_group_name_H-M_alt 'I 4/m m m'
_space_group_IT_number 139
_space_group_name_Hall '-I 4 2'
_cell_length_a 7.797
_cell_length_b 7.797
_cell_length_c 7.766
_cell_angle_alpha 90.00
_cell_angle_beta 90.00
_cell_angle_gamma 90.00
loop_
_atom_site_label
_atom_site_fract_x
_atom_site_fract_y
_atom_site_fract_z
_atom_site_occupancy
Ac1 0.250 0.250 0.250 1
Zn1 0.000 0.500 0.000 1
Ga1 0.000 0.000 0.000 1
```



# 10
Structure and calculated PXRD pattern of Ac2Zn3Ga (a cell relaxed with GGA-PBE; CuKα).
Peak positions follow from Bragg's law for the DFT cell and can differ from measured ones.

Peak list (6 most intense, 10° ≤ 2θ ≤ 80°, by angle)
d [Å], I_rel
3.413, 19
3.371, 23
2.932, 100
2.569, 28
2.551, 21
2.262, 19

Structural model:
```
data_Ac2Zn3Ga
_space_group_name_H-M_alt 'I m m 2'
_space_group_IT_number 44
_cell_length_a 4.427
_cell_length_b 4.524
_cell_length_c 15.603
_cell_angle_alpha 90.00
_cell_angle_beta 90.00
_cell_angle_gamma 90.00
loop_
_space_group_symop_operation_xyz
'x,y,z'
'-x,-y,z'
'-x,y,z'
'x,-y,z'
'x+1/2,y+1/2,z+1/2'
'-x+1/2,-y+1/2,z+1/2'
'-x+1/2,y+1/2,z+1/2'
'x+1/2,-y+1/2,z+1/2'
loop_
_atom_site_label
_atom_site_fract_x
_atom_site_fract_y
_atom_site_fract_z
_atom_site_occupancy
Ac1 0.000 0.000 0.000 1
Ac2 0.000 0.500 0.256 1
Zn1 0.000 0.000 0.587 1
Zn2 0.000 0.500 0.670 1
Zn3 0.000 0.500 0.838 1
Ga1 0.000 0.000 0.420 1
```



# 11
Structure and calculated PXRD pattern of Ac2ZrGa (a cell relaxed with GGA-PBE; CuKα).
Peak positions follow from Bragg's law for the DFT cell and can differ from measured ones.

Peak list (6 most intense, 10° ≤ 2θ ≤ 80°, by angle)
d [Å], I_rel
3.087, 98
3.052, 72
2.835, 89
2.324, 100
1.790, 62
1.527, 57

Structural model:
```
data_Ac2ZrGa
_space_group_name_H-M_alt 'R -3 m'
_space_group_IT_number 166
_space_group_name_Hall '-R 3 2"'
_cell_length_a 3.5780
_cell_length_b 3.5780
_cell_length_c 35.1406
_cell_angle_alpha 90.00
_cell_angle_beta 90.00
_cell_angle_gamma 120.00
loop_
_atom_site_label
_atom_site_fract_x
_atom_site_fract_y
_atom_site_fract_z
_atom_site_occupancy
Ac1 0.0000 0.0000 0.0937 1
Zr1 0.0000 0.0000 0.0000 1
Ga1 0.0000 0.0000 0.5000 1
```



# 12
Structure and calculated PXRD pattern of AcTbNdGd (a cell relaxed with GGA-PBE; CuKα).
Peak positions follow from Bragg's law for the DFT cell and can differ from measured ones.

Peak list (6 most intense, 10° ≤ 2θ ≤ 80°, by angle)
d [Å], I_rel
2.948, 100
2.084, 19
1.702, 40
1.474, 13
1.318, 17
1.203, 4

Structural model:
```
data_AcTbNdGd
_space_group_name_H-M_alt 'F -4 3 m'
_space_group_IT_number 216
_space_group_name_Hall 'F -4 2 3'
_cell_length_a 8.338
_cell_length_b 8.338
_cell_length_c 8.338
_cell_angle_alpha 90.00
_cell_angle_beta 90.00
_cell_angle_gamma 90.00
loop_
_atom_site_label
_atom_site_fract_x
_atom_site_fract_y
_atom_site_fract_z
_atom_site_occupancy
Ac1 0.000 0.000 0.000 1
Tb1 0.000 0.000 0.500 1
Nd1 0.250 0.250 0.250 1
Gd1 0.250 0.250 0.750 1
```